Entry 1:
This entry pairs a crystal structure of CaSm11 with its theoretical X-ray powder pattern. Radiation: Cu Kα, 1.54184 Å. Structure: a crystal structure in Alexandria, relaxed with GGA-PBE.
Neutral-atom scattering factors, no anomalous dispersion.

Top 12 peaks for 2θ = 5–70°, by intensity:
30.97°, 2.888 Å, intensity 100, (2 2 0)
30.68°, 2.914 Å, intensity 47, (2 0 1)
34.47°, 2.602 Å, intensity 34, (2 1 1)
60.81°, 1.523 Å, intensity 31, (2 2 2)
8.84°, 10.003 Å, intensity 20, (1 0 0)
29.32°, 3.046 Å, intensity 20, (1 1 1)
55.09°, 1.667 Å, intensity 17, (6 0 0)
54.91°, 1.672 Å, intensity 16, (4 2 1)
44.15°, 2.051 Å, intensity 16, (4 0 1)
26.40°, 3.375 Å, intensity 12, (1 0 1)
36.81°, 2.442 Å, intensity 12, (3 0 1)
62.09°, 1.495 Å, intensity 11, (4 3 1)

Structure:
abc: 11.5504 11.5504 3.5857
angles: 90.00 90.00 120.00
Space group P6/mmm (No. 191)
Inequivalent atoms, fractional coordinates:
Ca (0.0000, 0.0000, 0.0000) [1 per cell]
Sm (0.0000, 0.5000, 0.0000) [3 per cell]
Sm (0.1780, 0.3559, 0.5000) [6 per cell]
Sm (0.3333, 0.6667, 0.0000) [2 per cell]

Entry 2:
This entry pairs a crystal structure of Ca3Sm2 with its theoretical X-ray powder pattern. Radiation: Cu Kα, 1.54184 Å. Structure: a crystal structure in Alexandria, relaxed with GGA-PBE.
Neutral-atom scattering factors, no anomalous dispersion.

Top 12 peaks for 2θ = 5–70°, by intensity:
5.66°, 15.624 Å, intensity 100, (0 0 3)
29.09°, 3.070 Å, intensity 44, (0 1 5)
33.56°, 2.670 Å, intensity 29, (1 0 10)
28.56°, 3.125 Å, intensity 15, (0 0 15)
57.29°, 1.608 Å, intensity 12, (1 1 15)
48.54°, 1.876 Å, intensity 11, (1 1 0)
47.86°, 1.901 Å, intensity 9, (0 1 20)
31.49°, 2.841 Å, intensity 9, (0 1 8)
27.72°, 3.218 Å, intensity 7, (0 1 2)
37.26°, 2.414 Å, intensity 7, (1 0 13)
11.33°, 7.812 Å, intensity 6, (0 0 6)
57.59°, 1.601 Å, intensity 6, (2 0 5)

Structure:
abc: 3.7513 3.7513 46.8721
angles: 90.00 90.00 120.00
Space group R-3m (No. 166, hexagonal axes)
Inequivalent atoms, fractional coordinates:
Ca (0.0000, 0.0000, 0.0000) [3 per cell]
Ca (0.0000, 0.0000, 0.4028) [6 per cell]
Sm (0.0000, 0.0000, 0.1966) [6 per cell]

> What is the formula in the second record?

Ca3Sm2